# 1
Ba4SiGeS8: theoretical X-ray powder pattern (CuKα), based on a crystal structure in the Materials Project, relaxed with GGA-PBE.
Intensities are scaled so that the largest is 100.

Peak list (10 most intense, 2θ from 5° to 70°, in order of rising 2θ)
2θ (°)	I (rel.)
21.6	100
23.5	45
24.6	40
25.1	64
26.0	85
28.7	42
30.4	57
33.2	46
33.5	39
35.3	43

Atomic structure:
Lattice parameters (Å, degrees): 6.8602 12.4655 9.0637 90.00 90.00 90.00
Fractional positions:
Ba  0.0000  0.0805  0.0000
Ba  0.0000  0.3275  0.3530
Ba  0.0000  0.6725  0.8530
Ba  0.0000  0.9195  0.5000
Ba  0.5000  0.1669  0.6095
Ba  0.5000  0.4181  0.9616
Ba  0.5000  0.5819  0.4616
Ba  0.5000  0.8331  0.1095
Si  0.5000  0.1754  0.2118
Si  0.5000  0.8246  0.7118
Ge  0.0000  0.3258  0.7507
Ge  0.0000  0.6742  0.2507
S  0.0000  0.1557  0.6708
S  0.0000  0.3477  0.9935
S  0.0000  0.6523  0.4935
S  0.0000  0.8443  0.1708
S  0.2456  0.1060  0.3047
S  0.2456  0.8940  0.8047
S  0.2658  0.3939  0.6515
S  0.2658  0.6061  0.1515
S  0.5000  0.1545  0.9779
S  0.5000  0.3383  0.2866
S  0.5000  0.6617  0.7866
S  0.5000  0.8455  0.4779
S  0.7342  0.3939  0.6515
S  0.7342  0.6061  0.1515
S  0.7544  0.1060  0.3047
S  0.7544  0.8940  0.8047

---

# 2
Be3Rh: theoretical X-ray powder pattern (CuKα), based on a crystal structure in the Materials Project, relaxed with GGA-PBE.
Intensities are scaled so that the largest is 100.

Peak list (8 most intense, 2θ from 5° to 70°, in order of rising 2θ)
2θ (°)	I (rel.)
24.5	42
30.1	100
39.2	24
46.8	74
50.1	9
56.7	12
62.6	12
65.5	31

Atomic structure:
Lattice parameters (Å, degrees): 4.3031 4.3031 4.3031 135.66 135.66 64.51
Fractional positions:
Be  0.0000  0.0000  0.0000
Be  0.2500  0.7500  0.5000
Be  0.7500  0.2500  0.5000
Rh  0.5000  0.5000  0.0000

---

# 3
KAlP4H4O14: theoretical X-ray powder pattern (CuKα), based on a crystal structure in the Materials Project, relaxed with GGA-PBE.
Intensities are scaled so that the largest is 100.

Peak list (10 most intense, 2θ from 5° to 70°, in order of rising 2θ)
2θ (°)	I (rel.)
12.3	36
15.7	21
22.7	79
24.7	20
25.0	17
27.4	59
28.6	100
30.8	26
37.8	17
41.3	12

Atomic structure:
Lattice parameters (Å, degrees): 4.9559 7.5583 7.8699 81.68 83.66 73.92
Fractional positions:
K  0.0000  0.0000  0.0000
Al  0.0000  0.5000  0.0000
P  0.3131  0.2363  0.3160
P  0.4194  0.6047  0.2252
P  0.5806  0.3953  0.7748
P  0.6869  0.7637  0.6840
H  0.1276  0.7823  0.4107
H  0.3138  0.9980  0.6215
H  0.6862  0.0020  0.3785
H  0.8724  0.2177  0.5893
O  0.1617  0.2800  0.1512
O  0.1658  0.1647  0.4781
O  0.2398  0.6281  0.0739
O  0.2725  0.4116  0.8220
O  0.3075  0.7727  0.3320
O  0.3790  0.4260  0.3539
O  0.3902  0.9025  0.7217
O  0.6098  0.0975  0.2783
O  0.6210  0.5740  0.6461
O  0.6925  0.2273  0.6680
O  0.7275  0.5884  0.1780
O  0.7602  0.3719  0.9261
O  0.8342  0.8353  0.5219
O  0.8383  0.7200  0.8488

---

# 4
LiGdSe2: theoretical X-ray powder pattern (CuKα), based on a crystal structure in the Materials Project, relaxed with GGA-PBE.
Intensities are scaled so that the largest is 100.

Peak list (10 most intense, 2θ from 5° to 70°, in order of rising 2θ)
2θ (°)	I (rel.)
17.2	93
27.8	28
30.8	51
31.1	100
35.7	31
42.2	18
44.3	75
44.5	37
55.1	39
64.8	12

Atomic structure:
Lattice parameters (Å, degrees): 7.0887 7.0887 7.0887 132.09 132.09 70.09
Fractional positions:
Li  0.3750  0.6250  0.7500
Li  0.6250  0.3750  0.2500
Gd  0.1250  0.8750  0.2500
Gd  0.8750  0.1250  0.7500
Se  0.1239  0.3739  0.7500
Se  0.3739  0.1239  0.2500
Se  0.6261  0.8761  0.7500
Se  0.8761  0.6261  0.2500

---

# 5
CsPO4: theoretical X-ray powder pattern (CuKα), based on a crystal structure in the Materials Project, relaxed with GGA-PBE.
Intensities are scaled so that the largest is 100.

Peak list (10 most intense, 2θ from 5° to 70°, in order of rising 2θ)
2θ (°)	I (rel.)
16.3	21
20.0	100
22.3	98
25.1	22
26.5	83
30.5	24
31.4	23
34.8	27
37.5	27
40.6	35

Atomic structure:
Lattice parameters (Å, degrees): 5.8655 9.3453 9.3453 144.48 90.00 90.00
Fractional positions:
Cs  0.0000  0.1280  0.8720
Cs  0.0000  0.8720  0.1280
P  0.5000  0.2813  0.5429
P  0.5000  0.5429  0.2813
O  0.2843  0.4399  0.6532
O  0.2843  0.6532  0.4399
O  0.5000  0.0510  0.2568
O  0.5000  0.1588  0.5942
O  0.5000  0.2568  0.0510
O  0.5000  0.5942  0.1588
O  0.7157  0.4399  0.6532
O  0.7157  0.6532  0.4399